This entry pairs a crystal structure of Sr3Li9Tl2 with its computed XRD peak list. Radiation: Cu Ka. Structure: a PBE-relaxed structure.
Kinematic intensities with the Lorentz-polarization factor, no thermal factor.

Principal peaks in the range 2θ from 15° to 90°, by angle:
| d [Å] | I_rel |
| --- | --- |
| 4.744 | 56 |
| 4.529 | 37 |
| 4.226 | 49 |
| 3.592 | 21 |
| 3.512 | 59 |
| 2.889 | 100 |
| 2.817 | 29 |
| 2.513 | 21 |

Crystal structure
a b c (Å): 9.2321 9.2321 9.2321
angles (deg): 148.41 111.06 77.81
Fractional positions:
Sr  0.0000  0.0000  0.0000
Sr  0.3184  0.3184  0.0000
Sr  0.6816  0.6816  0.0000
Li  0.0268  0.6799  0.3469
Li  0.1679  0.8876  0.2802
Li  0.3331  0.6799  0.6531
Li  0.3926  0.1124  0.2802
Li  0.5000  0.0000  0.5000
Li  0.6074  0.8876  0.7198
Li  0.6669  0.3201  0.3469
Li  0.8321  0.1124  0.7198
Li  0.9732  0.3201  0.6531
Tl  0.2777  0.5000  0.7777
Tl  0.7223  0.5000  0.2223